Structure and computed PXRD pattern of V2GaTe4 (a cell relaxed with PBE; copper Kα).
Peak positions follow from Bragg's law for the DFT cell and can differ from measured ones.

The 6 most intense peaks (5 to 70 degrees two-theta), sorted by position:
7.668 Å, rel. 46
3.081 Å, rel. 75
2.938 Å, rel. 58
2.823 Å, rel. 78
2.484 Å, rel. 100
2.321 Å, rel. 47

Cell: 8.201 8.201 6.434 Å, 106.30 106.30 25.03°
Sites, in units of the cell vectors:
V: 0.244 0.244 0.177
V: 0.756 0.756 0.823
Ga: 0.500 0.500 0.500
Te: 0.162 0.162 0.510
Te: 0.378 0.378 0.017
Te: 0.622 0.622 0.983
Te: 0.838 0.838 0.490